1.
For CaSmCd, a DFT-relaxed cell (PBE, Alexandria) gives the theoretical X-ray diffraction stick pattern in this record (copper Kα).
Intensities are scaled so that the largest is 100.

Main lines, sorted by position (10 to 80 degrees two-theta):
| 2theta | d/Å | I_rel | (hkl) |
| --- | --- | --- | --- |
| 18.62 | 4.766 | 33 | 1 0 0 |
| 25.55 | 3.486 | 32 | 0 0 2 |
| 31.80 | 2.814 | 69 | 1 0 2 |
| 32.54 | 2.752 | 100 | 1 1 0 |
| 41.82 | 2.160 | 53 | 1 1 2 |
| 46.14 | 1.967 | 24 | 2 0 2 |
| 57.59 | 1.601 | 24 | 2 1 2 |
| 58.05 | 1.589 | 18 | 3 0 0 |
| 63.13 | 1.473 | 28 | 1 1 4 |
| 64.45 | 1.446 | 15 | 3 0 2 |

Cell and atoms:
Cell: 5.5038 5.5038 6.9730 Å, 90.00 90.00 120.00°
Space group P6_3/mmc (No. 194)
Symmetry-distinct sites (fractional):
Ca 0.0000 0.0000 0.0000
Sm 0.3333 0.6667 0.2500
Cd 0.3333 0.6667 0.7500


2.
For LaHg2, a DFT-relaxed cell (PBE, Alexandria) gives the theoretical X-ray diffraction stick pattern in this record (copper Kα).
Intensities are scaled so that the largest is 100.

Main lines, sorted by position (10 to 80 degrees two-theta):
| 2theta | d/Å | I_rel | (hkl) |
| --- | --- | --- | --- |
| 28.01 | 3.186 | 13 | 1 3 0 |
| 32.60 | 2.746 | 100 | 1 3 1 |
| 33.05 | 2.710 | 28 | 0 0 2 |
| 35.58 | 2.523 | 12 | 0 6 0 |
| 39.39 | 2.287 | 17 | 0 6 1 |
| 44.09 | 2.054 | 13 | 2 0 0 |
| 56.19 | 1.637 | 13 | 2 0 2 |
| 58.75 | 1.572 | 19 | 1 3 3 |
| 60.59 | 1.528 | 10 | 2 6 1 |
| 69.66 | 1.350 | 11 | 1 9 2 |

Cell and atoms:
Cell: 4.108 15.139 5.420 Å, 90.00 90.00 90.00°
Space group Cmcm (No. 63)
Symmetry-distinct sites (fractional):
La 0.000 0.106 0.250
Hg 0.000 0.228 0.750
Hg 0.000 0.435 0.250


3.
For CePu3Ru2, a DFT-relaxed cell (PBE, Alexandria) gives the theoretical X-ray diffraction stick pattern in this record (copper Kα).
Intensities are scaled so that the largest is 100.

Main lines, sorted by position (10 to 80 degrees two-theta):
| 2theta | d/Å | I_rel | (hkl) |
| --- | --- | --- | --- |
| 15.38 | 5.761 | 36 | 0 1 1 |
| 31.78 | 2.816 | 100 | 0 3 1 |
| 32.76 | 2.733 | 82 | 1 2 1 |
| 33.56 | 2.670 | 87 | 1 0 2 |
| 35.01 | 2.563 | 64 | 1 1 2 |
| 39.68 | 2.271 | 54 | 1 3 1 |
| 41.50 | 2.176 | 30 | 0 2 3 |
| 44.66 | 2.029 | 31 | 1 1 3 |
| 47.31 | 1.921 | 41 | 2 0 0 |
| 58.13 | 1.587 | 39 | 2 3 1 |

Cell and atoms:
Cell: 3.843 9.129 7.426 Å, 90.00 90.00 90.00°
Space group Pmc2_1 (No. 26)
Symmetry-distinct sites (fractional):
Ce 0.000 0.084 0.000
Pu 0.000 0.292 0.575
Pu 0.500 0.209 0.375
Pu 0.500 0.427 0.941
Ru 0.000 0.418 0.190
Ru 0.500 0.087 0.759


What did the third record say?
For CePu3Ru2, a DFT-relaxed cell (PBE, Alexandria) gives the theoretical X-ray diffraction stick pattern in this record (copper Kα).
Intensities are scaled so that the largest is 100.

Main lines, sorted by position (10 to 80 degrees two-theta):
| 2theta | d/Å | I_rel | (hkl) |
| --- | --- | --- | --- |
| 15.38 | 5.761 | 36 | 0 1 1 |
| 31.78 | 2.816 | 100 | 0 3 1 |
| 32.76 | 2.733 | 82 | 1 2 1 |
| 33.56 | 2.670 | 87 | 1 0 2 |
| 35.01 | 2.563 | 64 | 1 1 2 |
| 39.68 | 2.271 | 54 | 1 3 1 |
| 41.50 | 2.176 | 30 | 0 2 3 |
| 44.66 | 2.029 | 31 | 1 1 3 |
| 47.31 | 1.921 | 41 | 2 0 0 |
| 58.13 | 1.587 | 39 | 2 3 1 |

Cell and atoms:
Cell: 3.843 9.129 7.426 Å, 90.00 90.00 90.00°
Space group Pmc2_1 (No. 26)
Symmetry-distinct sites (fractional):
Ce 0.000 0.084 0.000
Pu 0.000 0.292 0.575
Pu 0.500 0.209 0.375
Pu 0.500 0.427 0.941
Ru 0.000 0.418 0.190
Ru 0.500 0.087 0.759